For MnTlZnF6, a GGA+U-relaxed structure gives the theoretical powder X-ray diffraction pattern in this record (λ = 1.5418 Å (Cu Kα)).

Most intense lines, 2θ = 10–90°, most intense first:
2θ/deg	I (rel.)
24.08	100
33.22	22
45.02	20
45.09	16
19.00	15
54.16	14
49.25	14
41.41	13
35.37	11
29.56	8

Structure:
Cell: 5.389 5.389 6.045 Å, 90.04 90.04 119.82°
Atoms (fractional coordinates):
Mn (0.000, 0.000, 0.000)
Tl (0.667, 0.333, 0.500)
Zn (0.333, 0.667, 0.000)
F (0.034, 0.315, 0.178)
F (0.035, 0.724, 0.820)
F (0.276, 0.965, 0.180)
F (0.280, 0.317, 0.820)
F (0.683, 0.720, 0.180)
F (0.685, 0.966, 0.822)